[1]
LiFeF4: computed powder XRD pattern (Cu Kα, 1.54184 Å), based on the PBE+U geometry in the Materials Project.
Intensities are scaled so that the largest is 100.

Atomic structure:
Cell: 9.848 8.455 7.634 Å, 90.00 90.00 90.00°
Space group Pnma (No. 62)
Inequivalent atoms, fractional coordinates:
Li: 0.243 0.031 0.110 [8 per cell]
Fe: 0.031 0.250 0.359 [4 per cell]
Fe: 0.093 0.250 0.779 [4 per cell]
F: 0.074 0.089 0.205 [8 per cell]
F: 0.080 0.750 0.136 [4 per cell]
F: 0.094 0.109 0.558 [8 per cell]
F: 0.159 0.750 0.638 [4 per cell]
F: 0.198 0.080 0.864 [8 per cell]

Top 12 peaks for 5° ≤ 2θ ≤ 70°, sorted by position:
- 14.68 deg, intensity 33.1
- 18.02 deg, intensity 48.8
- 20.88 deg, intensity 100.0
- 21.01 deg, intensity 56.4
- 23.30 deg, intensity 28.0
- 27.18 deg, intensity 81.2
- 27.81 deg, intensity 47.2
- 31.52 deg, intensity 51.1
- 38.06 deg, intensity 30.7
- 39.93 deg, intensity 17.9
- 40.84 deg, intensity 58.8
- 48.18 deg, intensity 23.6

***

[2]
Li9Mn7O16: computed powder XRD pattern (Cu Kα, 1.54184 Å), based on the PBE+U geometry in the Materials Project.
Intensities are scaled so that the largest is 100.

Atomic structure:
Cell: 5.339 5.760 9.759 Å, 90.00 96.84 90.00°
Space group P2/m (No. 10)
Inequivalent atoms, fractional coordinates:
Li: 0.000 0.000 0.000 [1 per cell]
Li: 0.248 0.000 0.760 [2 per cell]
Li: 0.251 0.246 0.250 [4 per cell]
Li: 0.255 0.500 0.755 [2 per cell]
Mn: 0.000 0.250 0.500 [2 per cell]
Mn: 0.000 0.500 0.000 [1 per cell]
Mn: 0.500 0.000 0.500 [1 per cell]
Mn: 0.500 0.248 0.000 [2 per cell]
Mn: 0.500 0.500 0.500 [1 per cell]
O: 0.102 0.000 0.380 [2 per cell]
O: 0.103 0.500 0.381 [2 per cell]
O: 0.161 0.260 0.896 [4 per cell]
O: 0.390 0.500 0.116 [2 per cell]
O: 0.394 0.250 0.617 [4 per cell]
O: 0.398 0.000 0.115 [2 per cell]

Top 12 peaks for 5° ≤ 2θ ≤ 70°, sorted by position:
- 18.31 deg, intensity 100.0
- 33.82 deg, intensity 18.9
- 36.17 deg, intensity 24.4
- 37.23 deg, intensity 6.5
- 40.70 deg, intensity 35.2
- 44.19 deg, intensity 55.3
- 46.85 deg, intensity 10.1
- 58.30 deg, intensity 9.4
- 61.32 deg, intensity 17.0
- 61.94 deg, intensity 16.3
- 63.82 deg, intensity 7.6
- 64.73 deg, intensity 7.7

***

[3]
V3NiO8: computed powder XRD pattern (Cu Kα, 1.54184 Å), based on the PBE+U geometry in the Materials Project.
Intensities are scaled so that the largest is 100.

Atomic structure:
Cell: 12.141 3.772 6.463 Å, 90.00 106.92 90.00°
Space group Cm (No. 8)
Inequivalent atoms, fractional coordinates:
V: 0.000 0.000 0.000 [2 per cell]
V: 0.105 0.000 0.583 [2 per cell]
V: 0.299 0.500 0.558 [2 per cell]
Ni: 0.195 0.500 0.975 [2 per cell]
O: 0.024 0.500 0.990 [2 per cell]
O: 0.042 0.000 0.293 [2 per cell]
O: 0.144 0.500 0.620 [2 per cell]
O: 0.148 0.000 0.910 [2 per cell]
O: 0.266 0.500 0.292 [2 per cell]
O: 0.268 0.000 0.592 [2 per cell]
O: 0.353 0.500 0.930 [2 per cell]
O: 0.452 0.500 0.641 [2 per cell]

Top 12 peaks for 5° ≤ 2θ ≤ 70°, sorted by position:
- 14.32 deg, intensity 52.5
- 15.26 deg, intensity 49.2
- 24.82 deg, intensity 100.0
- 28.88 deg, intensity 59.8
- 29.94 deg, intensity 59.6
- 33.16 deg, intensity 21.9
- 33.39 deg, intensity 27.3
- 36.63 deg, intensity 21.9
- 43.93 deg, intensity 32.7
- 44.80 deg, intensity 32.2
- 48.25 deg, intensity 39.9
- 58.59 deg, intensity 22.3